1.
Computed powder diffractogram of CrH2Rh for copper Kα, from a crystal structure in Alexandria, relaxed with PBE.

Main lines, sorted by position (2θ from 5° to 70°):
| two_theta | I_rel |
| --- | --- |
| 15.6 | 108 |
| 31.8 | 199 |
| 36.8 | 180 |
| 37.7 | 148 |
| 40.9 | 348 |
| 42.3 | 1000 |
| 43.1 | 400 |
| 56.2 | 115 |
| 56.8 | 93 |
| 67.5 | 144 |

Cell and atoms:
```
data_CrH2Rh
_chemical_formula_sum 'Cr4 H8 Rh4'
_cell_length_a 5.6815
_cell_length_b 4.7739
_cell_length_c 4.4176
_cell_angle_alpha 90.00
_cell_angle_beta 90.00
_cell_angle_gamma 90.00
_space_group_name_H-M_alt 'P 1'
_space_group_IT_number 1
_space_group_name_Hall 'P 1'
loop_
_atom_site_label
_atom_site_fract_x
_atom_site_fract_y
_atom_site_fract_z
Cr1 0.1148 0.0807 0.2500
Cr2 0.1148 0.4193 0.7500
Cr3 0.8852 0.5807 0.2500
Cr4 0.8852 0.9193 0.7500
H1 0.0940 0.7500 0.0000
H2 0.0940 0.7500 0.5000
H3 0.3536 0.2500 0.0000
H4 0.3536 0.2500 0.5000
H5 0.6464 0.7500 0.0000
H6 0.6464 0.7500 0.5000
H7 0.9060 0.2500 0.0000
H8 0.9060 0.2500 0.5000
Rh1 0.3606 0.5720 0.2500
Rh2 0.3606 0.9280 0.7500
Rh3 0.6394 0.0720 0.2500
Rh4 0.6394 0.4280 0.7500
```

***

2.
Computed powder diffractogram of TaTi3Ga2 for copper Kα, from a crystal structure in Alexandria, relaxed with PBE.

Main lines, sorted by position (2θ from 5° to 70°):
| two_theta | I_rel |
| --- | --- |
| 13.4 | 209 |
| 22.0 | 89 |
| 25.4 | 115 |
| 29.2 | 162 |
| 39.1 | 1000 |
| 40.8 | 212 |
| 42.6 | 197 |
| 52.2 | 139 |
| 60.5 | 128 |
| 68.4 | 87 |

Cell and atoms:
```
data_TaTi3Ga2
_chemical_formula_sum 'Ta1 Ti3 Ga2'
_cell_length_a 6.9591
_cell_length_b 6.9591
_cell_length_c 3.5023
_cell_angle_alpha 90.00
_cell_angle_beta 90.00
_cell_angle_gamma 144.51
_space_group_name_H-M_alt 'P 1'
_space_group_IT_number 1
_space_group_name_Hall 'P 1'
loop_
_atom_site_label
_atom_site_fract_x
_atom_site_fract_y
_atom_site_fract_z
Ta1 0.0000 0.0000 0.0000
Ti1 0.1712 0.8288 0.5000
Ti2 0.5000 0.5000 0.5000
Ti3 0.8288 0.1712 0.5000
Ga1 0.3433 0.6567 0.0000
Ga2 0.6567 0.3433 0.0000
```

***

3.
Computed powder diffractogram of La12Dy3Al for copper Kα, from a crystal structure in Alexandria, relaxed with PBE.

Main lines, sorted by position (2θ from 5° to 70°):
| two_theta | I_rel |
| --- | --- |
| 17.8 | 13 |
| 27.8 | 15 |
| 30.0 | 1000 |
| 34.6 | 166 |
| 34.9 | 341 |
| 50.0 | 234 |
| 50.3 | 123 |
| 59.2 | 134 |
| 59.7 | 289 |
| 62.5 | 120 |

Cell and atoms:
```
data_La12Dy3Al
_chemical_formula_sum 'La12 Dy3 Al1'
_cell_length_a 5.1348
_cell_length_b 5.1348
_cell_length_c 20.7399
_cell_angle_alpha 90.00
_cell_angle_beta 90.00
_cell_angle_gamma 90.00
_space_group_name_H-M_alt 'P 1'
_space_group_IT_number 1
_space_group_name_Hall 'P 1'
loop_
_atom_site_label
_atom_site_fract_x
_atom_site_fract_y
_atom_site_fract_z
La1 0.0000 0.0000 0.0000
La2 0.0000 0.0000 0.2474
La3 0.0000 0.0000 0.5000
La4 0.0000 0.0000 0.7526
La5 0.0000 0.5000 0.1179
La6 0.0000 0.5000 0.3730
La7 0.0000 0.5000 0.6270
La8 0.0000 0.5000 0.8821
La9 0.5000 0.0000 0.1179
La10 0.5000 0.0000 0.3730
La11 0.5000 0.0000 0.6270
La12 0.5000 0.0000 0.8821
Dy1 0.5000 0.5000 0.2463
Dy2 0.5000 0.5000 0.5000
Dy3 0.5000 0.5000 0.7537
Al1 0.5000 0.5000 0.0000
```